(1)
Structure and theoretical powder diffraction line list of CdC (a PBE-relaxed structure; Cu Kα X-rays).
Lines closer than 0.1° are merged.

Atomic structure:
```
data_CdC
_cell_length_a 3.4339
_cell_length_b 3.4339
_cell_length_c 3.4339
_cell_angle_alpha 60.00
_cell_angle_beta 60.00
_cell_angle_gamma 60.00
_symmetry_space_group_name_H-M 'P 1'
_symmetry_Int_Tables_number 1
loop_
_symmetry_equiv_pos_as_xyz
'x,y,z'
loop_
_atom_site_label
_atom_site_type_symbol
_atom_site_fract_x
_atom_site_fract_y
_atom_site_fract_z
Cd1 Cd 0.0000 0.0000 0.0000
C1 C 0.5000 0.5000 0.5000
```

The 7 most intense peaks (2θ from 10° to 90°), sorted by position:
31.92 deg, intensity 1000; 37.02 deg, intensity 727; 53.36 deg, intensity 473; 63.54 deg, intensity 406; 66.72 deg, intensity 154; 78.84 deg, intensity 71; 87.57 deg, intensity 171

(2)
Structure and theoretical powder diffraction line list of Cd3C (a PBE-relaxed structure; Cu Kα X-rays).
Lines closer than 0.1° are merged.

Atomic structure:
```
data_Cd3C
_cell_length_a 4.1721
_cell_length_b 4.1721
_cell_length_c 4.1721
_cell_angle_alpha 90.00
_cell_angle_beta 90.00
_cell_angle_gamma 90.00
_symmetry_space_group_name_H-M 'P 1'
_symmetry_Int_Tables_number 1
loop_
_symmetry_equiv_pos_as_xyz
'x,y,z'
loop_
_atom_site_label
_atom_site_type_symbol
_atom_site_fract_x
_atom_site_fract_y
_atom_site_fract_z
Cd1 Cd 0.0000 0.0000 0.5000
Cd2 Cd 0.0000 0.5000 0.0000
Cd3 Cd 0.5000 0.0000 0.0000
C1 C 0.5000 0.5000 0.5000
```

The 10 most intense peaks (2θ from 10° to 90°), sorted by position:
21.30 deg, intensity 265; 30.30 deg, intensity 226; 37.33 deg, intensity 1000; 43.38 deg, intensity 483; 48.81 deg, intensity 120; 53.82 deg, intensity 89; 63.02 deg, intensity 300; 67.33 deg, intensity 56; 75.59 deg, intensity 347; 79.60 deg, intensity 101

(3)
Structure and theoretical powder diffraction line list of CdH9C3NCl3 (a PBE-relaxed structure; Cu Kα X-rays).
Lines closer than 0.1° are merged.

Atomic structure:
```
data_CdH9C3NCl3
_cell_length_a 9.2971
_cell_length_b 9.2971
_cell_length_c 6.8267
_cell_angle_alpha 90.00
_cell_angle_beta 90.00
_cell_angle_gamma 120.00
_symmetry_space_group_name_H-M 'P 1'
_symmetry_Int_Tables_number 1
loop_
_symmetry_equiv_pos_as_xyz
'x,y,z'
loop_
_atom_site_label
_atom_site_type_symbol
_atom_site_fract_x
_atom_site_fract_y
_atom_site_fract_z
Cd1 Cd 0.0000 0.0000 0.0000
Cd2 Cd 0.0000 0.0000 0.5000
H1 H 0.1004 0.5599 0.1217
H2 H 0.1004 0.5599 0.3783
H3 H 0.1456 0.4163 0.2500
H4 H 0.2707 0.8544 0.2500
H5 H 0.4163 0.2707 0.7500
H6 H 0.4401 0.5405 0.1217
H7 H 0.4401 0.5405 0.3783
H8 H 0.4595 0.8996 0.1217
H9 H 0.4595 0.8996 0.3783
H10 H 0.5405 0.1004 0.6217
H11 H 0.5405 0.1004 0.8783
H12 H 0.5599 0.4595 0.6217
H13 H 0.5599 0.4595 0.8783
H14 H 0.5837 0.7293 0.2500
H15 H 0.7293 0.1456 0.7500
H16 H 0.8544 0.5837 0.7500
H17 H 0.8996 0.4401 0.6217
H18 H 0.8996 0.4401 0.8783
C1 C 0.1610 0.5409 0.2500
C2 C 0.3799 0.8390 0.2500
C3 C 0.4591 0.6201 0.2500
C4 C 0.5409 0.3799 0.7500
C5 C 0.6201 0.1610 0.7500
C6 C 0.8390 0.4591 0.7500
N1 N 0.3333 0.6667 0.2500
N2 N 0.6667 0.3333 0.7500
Cl1 Cl 0.1047 0.2566 0.7500
Cl2 Cl 0.1519 0.8953 0.7500
Cl3 Cl 0.2566 0.1519 0.2500
Cl4 Cl 0.7434 0.8481 0.7500
Cl5 Cl 0.8481 0.1047 0.2500
Cl6 Cl 0.8953 0.7434 0.2500
```

The 10 most intense peaks (2θ from 10° to 90°), sorted by position:
10.99 deg, intensity 1000; 19.09 deg, intensity 216; 25.69 deg, intensity 129; 28.40 deg, intensity 89; 32.54 deg, intensity 103; 34.45 deg, intensity 171; 39.68 deg, intensity 229; 40.39 deg, intensity 84; 42.86 deg, intensity 91; 49.34 deg, intensity 81